Theoretical X-ray powder pattern
Compound: HoTm6Zr
Radiation: λ = 1.5418 Å (Cu Kα)
Structure: a crystal structure in Alexandria, relaxed with GGA-PBE

```
8
Lattice="4.8812 0.0000 0.0000 0.0000 4.8812 0.0000 0.0000 0.0000 9.7320" Properties=species:S:1:pos:R:3 pbc="T T T"
Ho 0.0000 0.0000 0.0000
Tm 0.0000 2.4406 2.5323
Tm 0.0000 2.4406 7.1997
Tm 2.4406 0.0000 2.5323
Tm 2.4406 0.0000 7.1997
Tm 2.4406 2.4406 0.0000
Tm 2.4406 2.4406 4.8660
Zr 0.0000 0.0000 4.8660
```

Most intense lines, 10° ≤ 2θ ≤ 80°, by angle:
| h k l | 2theta | I (rel.) |
| --- | --- | --- |
| 1 1 2 | 31.79 | 100 |
| 2 0 0 | 36.83 | 34 |
| 0 0 4 | 36.95 | 16 |
| 2 2 0 | 53.12 | 35 |
| 3 1 2 | 63.20 | 28 |
| 1 1 6 | 63.36 | 13 |
| 2 2 4 | 66.42 | 12 |
| 4 0 0 | 78.36 | 4 |